Record 1
Diffraction record for Zr2C3. The PXRD pattern is simulated, not measured: it uses a DFT-relaxed cell (PBE, Alexandria) and CuKα.
Kinematic intensities with the Lorentz-polarization factor, no thermal factor.

The 10 most intense peaks (5 to 70 degrees two-theta), most intense first:
| 2theta | intensity |
| --- | --- |
| 36.22 | 100.0 |
| 41.79 | 58.7 |
| 37.75 | 56.5 |
| 32.20 | 50.2 |
| 22.78 | 49.3 |
| 25.25 | 48.6 |
| 43.02 | 46.8 |
| 46.01 | 40.6 |
| 46.53 | 23.8 |
| 66.34 | 20.1 |

Atomic structure:
```
10
Lattice="0.0000 5.5990 2.3432 4.5421 0.0000 2.3432 4.5421 5.5990 0.0000" Properties=species:S:1:pos:R:3 pbc="T T T"
Zr 5.2267 2.3339 2.3432
Zr 6.1285 5.1334 3.5148
Zr 3.8574 8.8642 2.3432
Zr 2.9557 6.0647 3.5148
C 5.4374 4.6087 1.2266
C 4.5421 5.5990 0.6787
C 2.2710 2.7995 1.8503
C 3.6467 6.5894 1.2266
C 3.1663 3.7899 2.3982
C 5.9178 7.4082 2.3982
```

Record 2
Diffraction record for Zr10C9. The PXRD pattern is simulated, not measured: it uses a DFT-relaxed cell (PBE, Alexandria) and CuKα.
Kinematic intensities with the Lorentz-polarization factor, no thermal factor.

The 9 most intense peaks (5 to 70 degrees two-theta), most intense first:
| 2theta | intensity |
| --- | --- |
| 32.80 | 100.0 |
| 38.05 | 74.7 |
| 54.86 | 24.2 |
| 54.95 | 23.9 |
| 65.41 | 23.3 |
| 65.50 | 16.5 |
| 68.69 | 7.8 |
| 68.76 | 3.9 |
| 68.87 | 3.8 |

Atomic structure:
```
38
Lattice="8.1796 -3.3498 0.0000 8.1796 3.3498 0.0000 -5.4573 0.0000 9.6544" Properties=species:S:1:pos:R:3 pbc="T T T"
Zr -2.6684 0.8256 9.2299
Zr 2.6625 2.4503 8.2556
Zr -0.0379 0.8363 7.2393
Zr 5.5108 2.4503 6.2259
Zr 2.7253 0.8563 5.3346
Zr 0.0602 -0.8256 4.4027
Zr 5.4018 0.7773 3.3921
Zr 2.6908 -0.8363 2.4121
Zr 8.2288 0.7773 1.4351
Zr 5.4540 -0.8563 0.5074
Zr 5.4479 0.8563 9.1470
Zr 2.6731 -0.7773 8.2193
Zr 8.2111 0.8363 7.2423
Zr 5.5001 -0.7773 6.2623
Zr 10.8417 0.8256 5.2517
Zr 8.1766 -0.8563 4.3198
Zr 5.3912 -2.4503 3.4284
Zr 10.9398 -0.8363 2.4151
Zr 8.2395 -2.4503 1.3988
Zr 13.5704 -0.8256 0.4245
C 4.1006 2.5170 4.3418
C 1.3376 0.8207 3.3794
C 4.0848 0.8474 1.4250
C 9.5300 2.5170 0.4854
C 1.3946 0.8451 9.1597
C -1.3911 -0.8207 8.2065
C 4.0866 0.8297 7.2408
C 1.3562 -0.8474 6.2522
C 6.7787 0.8451 5.3219
C 4.1232 -0.8451 4.3325
C 9.5458 0.8474 3.4022
C 6.8153 -0.8297 2.4136
C 12.2930 0.8207 1.4478
C 9.5074 -0.8451 0.4947
C 1.3720 -2.5170 9.1690
C 6.8171 -0.8474 8.2294
C 9.5644 -0.8207 6.2750
C 6.8013 -2.5170 5.3126
```

Record 3
Diffraction record for Zr4C3. The PXRD pattern is simulated, not measured: it uses a DFT-relaxed cell (PBE, Alexandria) and CuKα.
Kinematic intensities with the Lorentz-polarization factor, no thermal factor.

The 10 most intense peaks (5 to 70 degrees two-theta), most intense first:
| 2theta | intensity |
| --- | --- |
| 35.01 | 100.0 |
| 35.11 | 98.7 |
| 32.83 | 66.6 |
| 35.25 | 50.8 |
| 35.45 | 50.0 |
| 55.28 | 39.6 |
| 30.85 | 33.8 |
| 45.59 | 28.9 |
| 60.00 | 27.8 |
| 60.17 | 24.2 |

Atomic structure:
```
14
Lattice="12.2928 0.0000 0.0000 0.0000 3.3581 0.0000 -2.6426 0.0000 5.0927" Properties=species:S:1:pos:R:3 pbc="T T T"
Zr 0.3269 0.0000 2.3908
Zr -0.9234 1.6790 4.8880
Zr 4.4272 0.0000 0.2047
Zr 3.1769 1.6790 2.7019
Zr 6.4733 1.6790 2.3908
Zr 5.2230 0.0000 4.8880
Zr 10.5736 1.6790 0.2047
Zr 9.3233 0.0000 2.7019
C -1.3213 1.6790 2.5464
C 2.3373 0.0000 1.1982
C 1.1665 1.6790 3.8945
C 4.8251 0.0000 2.5464
C 8.4837 1.6790 1.1982
C 7.3129 0.0000 3.8945
```

Record 4
Diffraction record for Ca. The PXRD pattern is simulated, not measured: it uses a DFT-relaxed cell (PBE, Alexandria) and CuKα.
Kinematic intensities with the Lorentz-polarization factor, no thermal factor.

The 10 most intense peaks (5 to 70 degrees two-theta), most intense first:
| 2theta | intensity |
| --- | --- |
| 29.97 | 100.0 |
| 27.60 | 27.9 |
| 26.53 | 23.2 |
| 50.31 | 20.7 |
| 55.21 | 16.9 |
| 38.66 | 15.9 |
| 46.79 | 11.6 |
| 56.66 | 9.5 |
| 46.92 | 5.8 |
| 56.51 | 4.5 |

Atomic structure:
```
4
Lattice="3.8732 0.0000 0.0000 0.0000 6.7306 0.0000 -0.0076 0.0000 6.4642" Properties=species:S:1:pos:R:3 pbc="T T T"
Ca -0.0019 1.1107 1.6161
Ca -0.0057 5.6198 4.8482
Ca 1.9309 2.2546 4.8482
Ca 1.9347 4.4760 1.6161
```

Record 5
Diffraction record for Ca. The PXRD pattern is simulated, not measured: it uses a DFT-relaxed cell (PBE, Alexandria) and CuKα.
Kinematic intensities with the Lorentz-polarization factor, no thermal factor.

The 6 most intense peaks (5 to 70 degrees two-theta), most intense first:
| 2theta | intensity |
| --- | --- |
| 28.02 | 100.0 |
| 32.47 | 49.8 |
| 55.24 | 37.9 |
| 46.58 | 33.1 |
| 57.93 | 10.8 |
| 68.00 | 4.8 |

Atomic structure:
```
4
Lattice="5.5147 0.0000 0.0000 0.0000 5.5147 0.0000 0.0000 0.0000 5.5147" Properties=species:S:1:pos:R:3 pbc="T T T"
Ca 0.0000 0.0000 0.0000
Ca 0.0000 2.7574 2.7574
Ca 2.7574 0.0000 2.7574
Ca 2.7574 2.7574 0.0000
```

Record 6
Diffraction record for Ca6Cd23. The PXRD pattern is simulated, not measured: it uses a DFT-relaxed cell (PBE, Alexandria) and CuKα.
Kinematic intensities with the Lorentz-polarization factor, no thermal factor.

The 10 most intense peaks (5 to 70 degrees two-theta), most intense first:
| 2theta | intensity |
| --- | --- |
| 35.66 | 100.0 |
| 32.67 | 21.7 |
| 37.35 | 21.4 |
| 64.05 | 19.4 |
| 12.43 | 18.5 |
| 42.08 | 15.3 |
| 10.76 | 13.7 |
| 65.17 | 11.9 |
| 21.61 | 11.4 |
| 59.09 | 11.1 |

Atomic structure:
```
29
Lattice="0.0000 7.1218 7.1218 7.1218 0.0000 7.1218 7.1218 7.1218 0.0000" Properties=species:S:1:pos:R:3 pbc="T T T"
Ca 7.1218 7.1218 3.0559
Ca 7.1218 3.0559 7.1218
Ca 11.1878 7.1218 7.1218
Ca 3.0559 7.1218 7.1218
Ca 7.1218 11.1878 7.1218
Ca 7.1218 7.1218 11.1878
Cd 3.5609 3.5609 0.0000
Cd 3.5609 0.0000 3.5609
Cd 7.1218 3.5609 3.5609
Cd 8.8779 5.3658 5.3658
Cd 2.2830 2.2830 2.2830
Cd 4.8388 4.8388 2.2830
Cd 4.8388 2.2830 4.8388
Cd 5.3658 5.3658 5.3658
Cd 8.8779 8.8779 5.3658
Cd 8.8779 5.3658 8.8779
Cd 11.9607 9.4049 9.4049
Cd 0.0000 3.5609 3.5609
Cd 3.5609 7.1218 3.5609
Cd 3.5609 3.5609 7.1218
Cd 7.1218 7.1218 7.1218
Cd 2.2830 4.8388 4.8388
Cd 5.3658 8.8779 5.3658
Cd 5.3658 5.3658 8.8779
Cd 8.8779 8.8779 8.8779
Cd 9.4049 11.9607 9.4049
Cd 9.4049 9.4049 11.9607
Cd 11.9607 11.9607 11.9607
Cd 5.3658 8.8779 8.8779
```